Entry 1:
For K2Tl7Cd, a GGA-PBE-relaxed structure gives the computed PXRD pattern in this record (copper Kα).

Crystal structure
```
data_K2Tl7Cd
_symmetry_space_group_name_H-M 'P -4 m 2'
_symmetry_Int_Tables_number 115
_cell_length_a 5.2285
_cell_length_b 5.2285
_cell_length_c 12.9842
_cell_angle_alpha 90.00
_cell_angle_beta 90.00
_cell_angle_gamma 90.00
loop_
_symmetry_equiv_pos_as_xyz
'x,y,z'
'y,-x,-z'
'-x,-y,z'
'-y,x,-z'
'-x,y,z'
'-y,-x,-z'
'x,-y,z'
'y,x,-z'
loop_
_atom_site_label
_atom_site_fract_x
_atom_site_fract_y
_atom_site_fract_z
K1 0.0000 0.5000 0.2445
Tl1 0.0000 0.0000 0.0000
Tl2 0.0000 0.0000 0.5000
Tl3 0.0000 0.5000 0.6395
Tl4 0.0000 0.5000 0.8727
Tl5 0.5000 0.5000 0.5000
Cd1 0.5000 0.5000 0.0000
```

Most intense lines, 2θ = 15–90°, in order of rising 2θ:
Position (°2θ)  I/Imax  index
18.3  75.1  1 0 1
26.7  35.8  1 0 3
27.8  82.3  1 1 2
34.3  77.9  2 0 0
36.8  100.0  1 1 4
38.7  25.8  1 0 5
39.1  23.3  2 1 1
49.3  28.2  2 2 0
57.5  21.4  3 1 2
63.1  43.0  3 1 4

***

Entry 2:
For KTl2Cd6, a GGA-PBE-relaxed structure gives the computed PXRD pattern in this record (copper Kα).

Crystal structure
```
data_KTl2Cd6
_symmetry_space_group_name_H-M 'P 4/m m m'
_symmetry_Int_Tables_number 123
_symmetry_space_group_name_Hall '-P 4 2'
_cell_length_a 4.7198
_cell_length_b 4.7198
_cell_length_c 11.1192
_cell_angle_alpha 90.00
_cell_angle_beta 90.00
_cell_angle_gamma 90.00
loop_
_atom_site_label
_atom_site_fract_x
_atom_site_fract_y
_atom_site_fract_z
K1 0.0000 0.0000 0.0000
Tl1 0.5000 0.5000 0.1448
Cd1 0.0000 0.0000 0.5000
Cd2 0.0000 0.5000 0.3178
Cd3 0.5000 0.5000 0.5000
```

Most intense lines, 2θ = 15–90°, in order of rising 2θ:
Position (°2θ)  I/Imax  index
18.8  32.2  1 0 0
20.4  17.1  1 0 1
30.7  25.9  1 0 3
31.3  34.1  1 1 2
36.2  100.0  1 1 3
37.6  14.0  1 0 4
38.1  55.7  2 0 0
55.0  18.8  2 2 0
63.9  15.8  2 0 6
67.7  31.2  3 1 3

***

Entry 3:
For K2Tl5Cd3, a GGA-PBE-relaxed structure gives the computed PXRD pattern in this record (copper Kα).

Crystal structure
```
data_K2Tl5Cd3
_symmetry_space_group_name_H-M 'I b a m'
_symmetry_Int_Tables_number 72
_symmetry_space_group_name_Hall '-I 2 2c'
_cell_length_a 12.5455
_cell_length_b 14.6262
_cell_length_c 7.3322
_cell_angle_alpha 90.00
_cell_angle_beta 90.00
_cell_angle_gamma 90.00
loop_
_atom_site_label
_atom_site_fract_x
_atom_site_fract_y
_atom_site_fract_z
K1 0.2404 0.1321 0.0000
Tl1 0.0000 0.0000 0.2500
Tl2 0.0000 0.2671 0.2500
Tl3 0.1493 0.3939 0.0000
Cd1 0.0000 0.5000 0.2500
Cd2 0.1186 0.1352 0.5000
```

Most intense lines, 2θ = 15–90°, in order of rising 2θ:
Position (°2θ)  I/Imax  index
18.5  67.1  1 2 1
27.4  26.3  3 2 1
28.2  70.7  2 0 2
28.3  58.1  2 4 0
34.6  84.9  0 4 2
37.6  19.9  2 4 2
37.8  100.0  4 0 2
39.9  22.5  5 2 1
49.7  17.3  0 0 4
64.1  20.8  4 4 4

***

Entry 4:
For KTl6Cd2, a GGA-PBE-relaxed structure gives the computed PXRD pattern in this record (copper Kα).

Crystal structure
```
data_KTl6Cd2
_symmetry_space_group_name_H-M 'P 4/m m m'
_symmetry_Int_Tables_number 123
_symmetry_space_group_name_Hall '-P 4 2'
_cell_length_a 5.5567
_cell_length_b 5.5567
_cell_length_c 9.4683
_cell_angle_alpha 90.00
_cell_angle_beta 90.00
_cell_angle_gamma 90.00
loop_
_atom_site_label
_atom_site_fract_x
_atom_site_fract_y
_atom_site_fract_z
K1 0.0000 0.0000 0.0000
Tl1 0.0000 0.0000 0.5000
Tl2 0.0000 0.5000 0.2972
Tl3 0.5000 0.5000 0.5000
Cd1 0.5000 0.5000 0.1475
```

Most intense lines, 2θ = 15–90°, in order of rising 2θ:
Position (°2θ)  I/Imax  index
29.5  100.0  1 1 2
32.2  80.3  2 0 0
33.6  13.6  2 0 1
36.5  76.2  1 1 3
46.2  29.7  2 2 0
55.8  34.5  3 1 2
59.0  18.8  2 0 5
60.3  36.1  3 1 3
68.9  11.9  2 2 5
76.7  13.4  4 2 0

***

Entry 5:
For K2Tl4Cd3, a GGA-PBE-relaxed structure gives the computed PXRD pattern in this record (copper Kα).

Crystal structure
```
data_K2Tl4Cd3
_symmetry_space_group_name_H-M 'F m m m'
_symmetry_Int_Tables_number 69
_symmetry_space_group_name_Hall '-F 2 2'
_cell_length_a 6.1931
_cell_length_b 11.3034
_cell_length_c 16.1434
_cell_angle_alpha 90.00
_cell_angle_beta 90.00
_cell_angle_gamma 90.00
loop_
_atom_site_label
_atom_site_fract_x
_atom_site_fract_y
_atom_site_fract_z
K1 0.0000 0.0000 0.1347
Tl1 0.0000 0.1670 0.3340
Cd1 0.0000 0.0000 0.5000
Cd2 0.2500 0.2500 0.0000
```

Most intense lines, 2θ = 15–90°, in order of rising 2θ:
Position (°2θ)  I/Imax  index
15.7  27.4  0 2 0
17.2  32.1  1 1 1
28.3  17.2  1 3 1
28.8  20.5  2 0 0
30.9  15.8  2 0 2
32.4  100.0  1 3 3
33.3  33.3  0 0 6
34.9  24.4  2 2 2
53.4  24.5  3 3 3
67.9  16.9  2 6 6

***

Entry 6:
For KTl4Cd2, a GGA-PBE-relaxed structure gives the computed PXRD pattern in this record (copper Kα).

Crystal structure
```
data_KTl4Cd2
_symmetry_space_group_name_H-M 'I m m m'
_symmetry_Int_Tables_number 71
_symmetry_space_group_name_Hall '-I 2 2'
_cell_length_a 5.9184
_cell_length_b 8.3643
_cell_length_c 8.6387
_cell_angle_alpha 90.00
_cell_angle_beta 90.00
_cell_angle_gamma 90.00
loop_
_atom_site_label
_atom_site_fract_x
_atom_site_fract_y
_atom_site_fract_z
K1 0.0000 0.0000 0.0000
Tl1 0.0000 0.3056 0.3084
Cd1 0.2485 0.5000 0.0000
```

Most intense lines, 2θ = 15–90°, in order of rising 2θ:
Position (°2θ)  I/Imax  index
18.2  35.7  1 0 1
29.7  100.0  0 2 2
33.8  63.2  0 3 1
34.6  72.3  1 0 3
35.6  63.0  1 3 0
36.8  66.1  2 0 2
37.2  67.2  2 2 0
41.0  40.8  1 2 3
55.4  70.2  2 3 3
57.2  37.8  1 5 0

***

Entry 7:
For K2Tl2Cd, a GGA-PBE-relaxed structure gives the computed PXRD pattern in this record (copper Kα).

Crystal structure
```
data_K2Tl2Cd
_symmetry_space_group_name_H-M 'C 1 2/m 1'
_symmetry_Int_Tables_number 12
_cell_length_a 12.6712
_cell_length_b 5.3861
_cell_length_c 12.7559
_cell_angle_alpha 90.00
_cell_angle_beta 118.69
_cell_angle_gamma 90.00
loop_
_symmetry_equiv_pos_as_xyz
'x,y,z'
'-x,-y,-z'
'-x,y,-z'
'x,-y,z'
'x+1/2,y+1/2,z'
'-x+1/2,-y+1/2,-z'
'-x+1/2,y+1/2,-z'
'x+1/2,-y+1/2,z'
loop_
_atom_site_label
_atom_site_fract_x
_atom_site_fract_y
_atom_site_fract_z
K1 0.0029 0.0000 0.3281
K2 0.2015 0.0000 0.1129
Tl1 0.0030 0.5000 0.8832
Tl2 0.1462 0.5000 0.5567
Cd1 0.2227 0.5000 0.3559
```

Most intense lines, 2θ = 15–90°, in order of rising 2θ:
Position (°2θ)  I/Imax  index
18.3  100.0  1 1 0
21.0  25.9  2 0 1
21.4  31.3  2 0 -3
26.9  50.5  1 1 -3
27.1  44.2  3 1 -1
32.8  33.2  4 0 -4
33.3  51.7  0 2 0
33.3  70.2  3 1 1
41.4  25.4  5 1 -4
47.4  23.6  4 2 -4

***

Entry 8:
For K2TlCd, a GGA-PBE-relaxed structure gives the computed PXRD pattern in this record (copper Kα).

Crystal structure
```
data_K2TlCd
_symmetry_space_group_name_H-M 'I m m m'
_symmetry_Int_Tables_number 71
_symmetry_space_group_name_Hall '-I 2 2'
_cell_length_a 5.2929
_cell_length_b 5.3124
_cell_length_c 10.8890
_cell_angle_alpha 90.00
_cell_angle_beta 90.00
_cell_angle_gamma 90.00
loop_
_atom_site_label
_atom_site_fract_x
_atom_site_fract_y
_atom_site_fract_z
K1 0.0000 0.0000 0.2494
Tl1 0.0000 0.5000 0.0000
Cd1 0.0000 0.5000 0.5000
```

Most intense lines, 2θ = 15–90°, in order of rising 2θ:
Position (°2θ)  I/Imax  index
16.3  32.0  0 0 2
23.7  27.1  1 1 0
28.9  100.0  1 1 2
32.9  17.7  0 0 4
33.7  16.6  0 2 0
33.9  16.4  2 0 0
41.0  13.8  1 1 4
47.9  24.2  2 0 4
56.3  14.7  1 1 6
57.4  15.3  1 3 2

***

Entry 9:
For K2CdW, a GGA-PBE-relaxed structure gives the computed PXRD pattern in this record (copper Kα).

Crystal structure
```
data_K2CdW
_symmetry_space_group_name_H-M 'P 4 m m'
_symmetry_Int_Tables_number 99
_cell_length_a 3.7669
_cell_length_b 3.7669
_cell_length_c 10.2361
_cell_angle_alpha 90.00
_cell_angle_beta 90.00
_cell_angle_gamma 90.00
loop_
_symmetry_equiv_pos_as_xyz
'x,y,z'
'-y,x,z'
'-x,-y,z'
'y,-x,z'
'-x,y,z'
'y,x,z'
'x,-y,z'
'-y,-x,z'
loop_
_atom_site_label
_atom_site_fract_x
_atom_site_fract_y
_atom_site_fract_z
K1 0.0000 0.0000 0.0000
K2 0.5000 0.5000 0.4048
Cd1 0.5000 0.5000 0.7469
W1 0.0000 0.0000 0.6598
```

Most intense lines, 2θ = 15–90°, in order of rising 2θ:
Position (°2θ)  I/Imax  index
17.3  60.4  0 0 2
26.1  49.9  0 0 3
29.4  86.4  1 0 2
33.6  100.0  1 1 0
34.8  87.7  1 1 1
35.5  89.0  1 0 3
38.1  36.0  1 1 2
43.1  50.6  1 1 3
50.8  35.3  1 0 5
59.5  36.3  1 0 6

***

Entry 10:
For KYCd17, a GGA-PBE-relaxed structure gives the computed PXRD pattern in this record (copper Kα).

Crystal structure
```
data_KYCd17
_symmetry_space_group_name_H-M 'R 3 m'
_symmetry_Int_Tables_number 160
_symmetry_space_group_name_Hall 'R 3 -2"'
_cell_length_a 10.2125
_cell_length_b 10.2125
_cell_length_c 15.1081
_cell_angle_alpha 90.00
_cell_angle_beta 90.00
_cell_angle_gamma 120.00
loop_
_atom_site_label
_atom_site_fract_x
_atom_site_fract_y
_atom_site_fract_z
K1 0.0000 0.0000 0.0000
Y1 0.0000 0.0000 0.3339
Cd1 0.0000 0.0000 0.5557
Cd2 0.0000 0.0000 0.7540
Cd3 0.0364 0.3670 0.3301
Cd4 0.1754 0.3508 0.1398
Cd5 0.1793 0.3586 0.5017
Cd6 0.1912 0.3824 0.8483
```

Most intense lines, 2θ = 15–90°, in order of rising 2θ:
Position (°2θ)  I/Imax  index
17.4  18.8  1 1 0
30.3  31.2  3 0 0
31.1  23.6  0 2 4
35.1  41.2  2 2 0
35.3  100.0  0 3 3
35.7  30.1  0 0 6
36.0  30.7  2 0 5
39.6  74.7  2 2 3
39.9  24.3  1 1 6
63.8  18.1  0 3 9

***

Entry 11:
For K2ZnCd4, a GGA-PBE-relaxed structure gives the computed PXRD pattern in this record (copper Kα).

Crystal structure
```
data_K2ZnCd4
_symmetry_space_group_name_H-M 'I 4/m m m'
_symmetry_Int_Tables_number 139
_symmetry_space_group_name_Hall '-I 4 2'
_cell_length_a 5.2062
_cell_length_b 5.2062
_cell_length_c 18.1575
_cell_angle_alpha 90.00
_cell_angle_beta 90.00
_cell_angle_gamma 90.00
loop_
_atom_site_label
_atom_site_fract_x
_atom_site_fract_y
_atom_site_fract_z
K1 0.0000 0.0000 0.1528
Zn1 0.0000 0.0000 0.5000
Cd1 0.0000 0.0000 0.3503
Cd2 0.0000 0.5000 0.0000
```

Most intense lines, 2θ = 15–90°, in order of rising 2θ:
Position (°2θ)  I/Imax  index
17.7  60.3  1 0 1
26.1  63.2  1 1 2
29.5  54.3  0 0 6
31.3  100.0  1 1 4
34.5  86.8  2 0 0
46.0  61.5  2 0 6
49.5  29.6  2 2 0
56.5  22.6  1 1 10
58.7  28.6  2 2 6
59.7  28.8  3 1 4

***

Entry 12:
For K16ZnCd12, a GGA-PBE-relaxed structure gives the computed PXRD pattern in this record (copper Kα).

Crystal structure
```
data_K16ZnCd12
_symmetry_space_group_name_H-M 'C 1 m 1'
_symmetry_Int_Tables_number 8
_cell_length_a 13.2291
_cell_length_b 17.3755
_cell_length_c 11.6326
_cell_angle_alpha 90.00
_cell_angle_beta 117.63
_cell_angle_gamma 90.00
loop_
_symmetry_equiv_pos_as_xyz
'x,y,z'
'x,-y,z'
'x+1/2,y+1/2,z'
'x+1/2,-y+1/2,z'
loop_
_atom_site_label
_atom_site_fract_x
_atom_site_fract_y
_atom_site_fract_z
K1 0.0000 0.0000 0.0000
K2 0.0065 0.3098 0.7071
K3 0.0402 0.3270 0.1416
K4 0.1879 0.2004 0.0003
K5 0.1915 0.1183 0.3465
K6 0.2015 0.5000 0.7173
K7 0.2264 0.1117 0.7078
K8 0.2425 0.5000 0.3803
K9 0.3492 0.0000 0.0983
K10 0.4167 0.3076 0.3747
Zn1 0.4320 0.5000 0.2473
Cd1 0.0321 0.5000 0.8965
Cd2 0.2102 0.3148 0.5448
Cd3 0.2626 0.4063 0.0347
Cd4 0.3412 0.3163 0.8583
Cd5 0.4062 0.0000 0.5921
Cd6 0.4409 0.4094 0.6961
Cd7 0.4935 0.0897 0.4169
```

Most intense lines, 2θ = 15–90°, in order of rising 2θ:
Position (°2θ)  I/Imax  index
16.9  57.1  2 0 -2
29.1  54.6  4 2 -2
29.2  75.3  1 5 1
29.5  42.8  4 0 -3
29.7  42.5  2 2 2
30.0  69.6  1 5 -2
30.8  43.8  2 0 -4
32.9  100.0  3 5 -1
35.0  44.6  3 1 2
37.4  44.3  2 6 1